Record 1
The following is a simulated PXRD pattern of Li5PmTl7. It was derived from a crystal structure in Alexandria, relaxed with PBE, using Cu Kα (weighted mean of Kα1 and Kα2).

Largest 12 diffraction maxima, sorted by position, 10° ≤ 2θ ≤ 80°:
Position (°2θ)  I/Imax
18.00  29
24.85  18
25.48  41
29.26  74
30.75  68
30.91  36
34.56  17
35.88  100
39.18  30
40.51  20
56.29  28
65.23  22

a = 7.6300 Å, b = 7.6300 Å, c = 7.6300 Å
α = 132.85°, β = 98.88°, γ = 99.53°
Atoms (fractional coordinates):
Li 0.0000 0.0000 0.0000
Li 0.2371 0.2453 0.5123
Li 0.2371 0.7248 0.9918
Li 0.7330 0.2453 0.0082
Li 0.7330 0.7248 0.4877
Pm 0.2421 0.7421 0.5000
Tl 0.0276 0.2173 0.8104
Tl 0.4069 0.2173 0.1896
Tl 0.4676 0.4676 0.0000
Tl 0.5853 0.0853 0.5000
Tl 0.5859 0.7512 0.8347
Tl 0.9057 0.4057 0.5000
Tl 0.9165 0.7512 0.1653

Record 2
The following is a simulated PXRD pattern of Tm2Ge4Os3. It was derived from a crystal structure in Alexandria, relaxed with PBE, using Cu Kα (weighted mean of Kα1 and Kα2).

Largest 12 diffraction maxima, sorted by position, 10° ≤ 2θ ≤ 80°:
Position (°2θ)  I/Imax
14.23  88
28.51  35
37.35  28
37.72  56
39.08  100
40.16  31
40.50  59
40.89  30
43.62  28
43.98  33
62.56  25
67.60  26

a = 7.8698 Å, b = 6.8031 Å, c = 5.5432 Å
α = 78.47°, β = 57.89°, γ = 43.64°
Atoms (fractional coordinates):
Tm 0.1297 0.1297 0.8703
Tm 0.8703 0.8703 0.1297
Ge 0.1747 0.5052 0.4948
Ge 0.4948 0.8253 0.1747
Ge 0.5052 0.1747 0.8253
Ge 0.8253 0.4948 0.5052
Os 0.0000 0.0000 0.5000
Os 0.5000 0.5000 0.0000
Os 0.5000 0.5000 0.5000

Record 3
The following is a simulated PXRD pattern of CuIr2Rh2. It was derived from a crystal structure in Alexandria, relaxed with PBE, using Cu Kα (weighted mean of Kα1 and Kα2).

Largest 12 diffraction maxima, sorted by position, 10° ≤ 2θ ≤ 80°:
Position (°2θ)  I/Imax
25.84  95
33.09  26
35.36  21
38.33  100
43.91  22
44.47  79
46.27  66
50.88  58
57.93  22
69.43  23
69.84  41
74.81  18

a = 6.6861 Å, b = 6.6861 Å, c = 6.6861 Å
α = 148.86°, β = 148.86°, γ = 44.62°
Atoms (fractional coordinates):
Cu 0.0000 0.0000 0.0000
Ir 0.4024 0.4024 0.0000
Ir 0.5976 0.5976 0.0000
Rh 0.2500 0.7500 0.5000
Rh 0.7500 0.2500 0.5000

Record 4
The following is a simulated PXRD pattern of AlSn. It was derived from a crystal structure in Alexandria, relaxed with PBE, using Cu Kα (weighted mean of Kα1 and Kα2).

Largest 12 diffraction maxima, sorted by position, 10° ≤ 2θ ≤ 80°:
Position (°2θ)  I/Imax
17.33  62
20.03  22
30.25  34
32.58  100
36.55  63
38.54  69
40.72  23
45.05  25
53.09  32
62.32  17
65.22  31
69.18  20

a = 10.2355 Å, b = 10.2355 Å, c = 3.2584 Å
α = 90.00°, β = 90.00°, γ = 120.00°
Atoms (fractional coordinates):
Al 0.1584 0.5386 0.2500
Al 0.3802 0.8416 0.2500
Al 0.4614 0.6198 0.2500
Al 0.5386 0.3802 0.7500
Al 0.6198 0.1584 0.7500
Al 0.8416 0.4614 0.7500
Sn 0.0283 0.7360 0.2500
Sn 0.2640 0.2923 0.2500
Sn 0.2923 0.0283 0.7500
Sn 0.7077 0.9717 0.2500
Sn 0.7360 0.7077 0.7500
Sn 0.9717 0.2640 0.7500

Please write out number 2 again, unchanged.
The following is a simulated PXRD pattern of Tm2Ge4Os3. It was derived from a crystal structure in Alexandria, relaxed with PBE, using Cu Kα (weighted mean of Kα1 and Kα2).

Largest 12 diffraction maxima, sorted by position, 10° ≤ 2θ ≤ 80°:
Position (°2θ)  I/Imax
14.23  88
28.51  35
37.35  28
37.72  56
39.08  100
40.16  31
40.50  59
40.89  30
43.62  28
43.98  33
62.56  25
67.60  26

a = 7.8698 Å, b = 6.8031 Å, c = 5.5432 Å
α = 78.47°, β = 57.89°, γ = 43.64°
Atoms (fractional coordinates):
Tm 0.1297 0.1297 0.8703
Tm 0.8703 0.8703 0.1297
Ge 0.1747 0.5052 0.4948
Ge 0.4948 0.8253 0.1747
Ge 0.5052 0.1747 0.8253
Ge 0.8253 0.4948 0.5052
Os 0.0000 0.0000 0.5000
Os 0.5000 0.5000 0.0000
Os 0.5000 0.5000 0.5000